Record 1
This entry pairs a crystal structure of PaCoTe3 with its theoretical powder diffractogram. Radiation: Cu Kα (λ = 1.5418 Å). Structure: a crystal structure in Alexandria, relaxed with PBE.
Kinematic intensities with the Lorentz-polarization factor, no thermal factor.

Most intense lines, 10° ≤ 2θ ≤ 80°, in order of falling intensity:
hkl 2 0 2, 2θ = 29.00°, rel. 1000
hkl 0 2 2, 2θ = 34.51°, rel. 535
hkl 2 2 0, 2θ = 32.40°, rel. 472
hkl 4 2 2, 2θ = 52.11°, rel. 382
hkl 4 0 0, 2θ = 37.82°, rel. 347
hkl 1 2 1, 2θ = 30.06°, rel. 307

Structural model:
a b c (Å): 9.5152 6.7899 8.0779
angles (deg): 90.00 90.00 90.00
Space group Ima2 (No. 46)
Symmetry-distinct sites (fractional):
Pa 0.2500 0.0804 0.0000 [4 per cell]
Co 0.2500 0.6925 0.3501 [4 per cell]
Te 0.0191 0.2339 0.2768 [8 per cell]
Te 0.2500 0.5323 0.0622 [4 per cell]

***

Record 2
This entry pairs a crystal structure of PaTiCo with its theoretical powder diffractogram. Radiation: Cu Kα (λ = 1.5418 Å). Structure: a crystal structure in Alexandria, relaxed with PBE.
Kinematic intensities with the Lorentz-polarization factor, no thermal factor.

Most intense lines, 10° ≤ 2θ ≤ 80°, in order of falling intensity:
hkl 1 1 2, 2θ = 35.18°, rel. 1000
hkl 1 2 1, 2θ = 38.37°, rel. 875
hkl 1 0 1, 2θ = 21.10°, rel. 645
hkl 2 1 1, 2θ = 39.37°, rel. 612
hkl 0 1 3, 2θ = 43.32°, rel. 450
hkl 0 2 0, 2θ = 31.68°, rel. 405

Structural model:
a b c (Å): 5.3924 5.6489 6.7435
angles (deg): 90.00 90.00 90.00
Space group Imma (No. 74)
Symmetry-distinct sites (fractional):
Pa 0.0000 0.2500 0.1023 [4 per cell]
Ti 0.0000 0.0000 0.5000 [4 per cell]
Co 0.2500 0.2500 0.7500 [4 per cell]

***

Record 3
This entry pairs a crystal structure of Pa5TiCo6 with its theoretical powder diffractogram. Radiation: Cu Kα (λ = 1.5418 Å). Structure: a crystal structure in Alexandria, relaxed with PBE.
Kinematic intensities with the Lorentz-polarization factor, no thermal factor.

Most intense lines, 10° ≤ 2θ ≤ 80°, in order of falling intensity:
hkl 2 0 -1, 2θ = 37.28°, rel. 1000
hkl -1 2 1, 2θ = 34.54°, rel. 884
hkl 0 0 3, 2θ = 41.47°, rel. 796
hkl 1 -2 2, 2θ = 35.59°, rel. 740
hkl 1 0 -2, 2θ = 27.76°, rel. 731
hkl 1 0 1, 2θ = 27.43°, rel. 675

Structural model:
a b c (Å): 5.0850 6.7356 7.3154
angles (deg): 108.52 101.67 108.43
Space group P-1 (No. 2)
Symmetry-distinct sites (fractional):
Pa 0.0000 0.0000 0.0000 [1 per cell]
Pa 0.2941 0.8947 0.6525 [2 per cell]
Pa 0.3804 0.3859 0.6876 [2 per cell]
Ti 0.0000 0.5000 0.0000 [1 per cell]
Co 0.1135 0.4733 0.3404 [2 per cell]
Co 0.1435 0.8657 0.2923 [2 per cell]
Co 0.4224 0.7787 0.9724 [2 per cell]

***

Record 4
This entry pairs a crystal structure of Tm5PaCo3 with its theoretical powder diffractogram. Radiation: Cu Kα (λ = 1.5418 Å). Structure: a crystal structure in Alexandria, relaxed with PBE.
Kinematic intensities with the Lorentz-polarization factor, no thermal factor.

Most intense lines, 10° ≤ 2θ ≤ 80°, in order of falling intensity:
hkl 2 2 0, 2θ = 27.48°, rel. 1000
hkl 0 4 0, 2θ = 34.89°, rel. 662
hkl 4 0 0, 2θ = 43.27°, rel. 419
hkl 1 1 3, 2θ = 35.16°, rel. 371
hkl 1 1 -3, 2θ = 28.22°, rel. 290
hkl 1 3 -3, 2θ = 37.74°, rel. 289

Structural model:
a b c (Å): 8.9305 10.2853 9.9736
angles (deg): 90.00 110.41 90.00
Space group C2/m (No. 12)
Symmetry-distinct sites (fractional):
Tm 0.0000 0.2376 0.0000 [4 per cell]
Tm 0.0363 0.2580 0.3469 [8 per cell]
Tm 0.1982 0.0000 0.5738 [4 per cell]
Tm 0.2216 0.5000 0.0743 [4 per cell]
Pa 0.2328 0.5000 0.7451 [4 per cell]
Co 0.0000 0.0000 0.0000 [2 per cell]
Co 0.0000 0.5000 0.5000 [2 per cell]
Co 0.0013 0.5000 0.7961 [4 per cell]
Co 0.0196 0.0000 0.2674 [4 per cell]